# 1
This entry pairs a crystal structure of BaScAgO3 with its simulated PXRD pattern. Radiation: Cu Kα (weighted mean of Kα1 and Kα2). Structure: the GGA-PBE geometry in OQMD.

Structure:
```
12
Lattice="1.714 -6.595 0.000 1.714 6.595 0.000 0.000 0.000 8.679" Properties=species:S:1:pos:R:3 pbc="T T T"
Ba 1.714 4.166 6.509
Ba 1.714 -4.166 2.170
Sc 1.714 0.000 0.000
Sc 1.714 0.000 4.339
Ag 1.714 5.193 2.170
Ag 1.714 -5.193 6.509
O 1.714 5.228 0.105
O 1.714 5.228 4.234
O 1.714 0.529 2.170
O 1.714 -0.529 6.509
O 1.714 -5.228 4.445
O 1.714 -5.228 8.574
```

Principal peaks in the range 2θ = 10–90°, most intense first:
2θ (°), I (rel.)
33.1, 100
20.5, 93
34.8, 76
41.6, 75
29.0, 70
34.0, 66
54.2, 48
56.8, 43
24.6, 39
39.3, 35


# 2
This entry pairs a crystal structure of BaAgSe2O6 with its simulated PXRD pattern. Radiation: Cu Kα (weighted mean of Kα1 and Kα2). Structure: the GGA-PBE geometry in OQMD.

Structure:
```
20
Lattice="3.991 -2.712 0.000 3.991 2.712 0.000 -0.067 0.000 15.696" Properties=species:S:1:pos:R:3 pbc="T T T"
Ba 3.941 2.503 11.772
Ba 3.974 -2.503 3.924
Ag 0.000 0.000 0.000
Ag -0.034 0.000 7.848
Se 2.898 0.047 14.182
Se 2.932 -0.047 6.334
Se 4.983 0.047 9.362
Se 5.017 -0.047 1.514
O 3.773 1.463 6.158
O 2.460 0.335 12.574
O 3.575 1.085 9.204
O 4.176 1.463 1.690
O 4.306 1.085 14.340
O 2.493 -0.335 4.726
O 5.422 0.335 10.970
O 3.609 -1.085 1.356
O 3.739 -1.463 14.006
O 4.340 -1.085 6.492
O 5.455 -0.335 3.122
O 4.142 -1.463 9.538
```

Principal peaks in the range 2θ = 10–90°, most intense first:
2θ (°), I (rel.)
30.3, 100
37.7, 39
22.3, 39
22.8, 34
33.0, 23
25.0, 20
46.6, 19
19.8, 16
50.8, 16
31.9, 15